1.
Be2SiRh: simulated powder diffractogram (Cu Kα (weighted mean of Kα1 and Kα2)), based on a cell relaxed with PBE.
No peak broadening, texture or thermal motion is included.

Atomic structure:
```
data_Be2SiRh
_symmetry_space_group_name_H-M 'P 1'
_symmetry_Int_Tables_number 1
_cell_length_a 2.7285
_cell_length_b 3.7359
_cell_length_c 4.4149
_cell_angle_alpha 90.00
_cell_angle_beta 90.16
_cell_angle_gamma 90.00
loop_
_symmetry_equiv_pos_as_xyz
'x,y,z'
loop_
_atom_site_label
_atom_site_fract_x
_atom_site_fract_y
_atom_site_fract_z
Be1 0.0079 0.0000 0.2656
Be2 0.9921 0.0000 0.7344
Si1 0.0000 0.5000 0.0000
Rh1 0.5000 0.5000 0.5000
```

Largest 10 diffraction maxima, low angle first, 2θ = 10–90°:
| Position (°2θ) | d_spacing | I/Imax |
| --- | --- | --- |
| 20.11 | 4.415 | 60.5 |
| 23.82 | 3.736 | 100.0 |
| 31.37 | 2.852 | 37.9 |
| 38.75 | 2.324 | 33.0 |
| 38.85 | 2.318 | 32.2 |
| 40.92 | 2.205 | 49.0 |
| 46.04 | 1.972 | 81.9 |
| 47.86 | 1.900 | 42.1 |
| 48.75 | 1.868 | 20.0 |
| 63.98 | 1.455 | 29.0 |


2.
Pm3PS2: simulated powder diffractogram (Cu Kα (weighted mean of Kα1 and Kα2)), based on a cell relaxed with PBE.
No peak broadening, texture or thermal motion is included.

Atomic structure:
```
data_Pm3PS2
_symmetry_space_group_name_H-M 'P 1'
_symmetry_Int_Tables_number 1
_cell_length_a 7.0698
_cell_length_b 7.0698
_cell_length_c 7.0698
_cell_angle_alpha 146.62
_cell_angle_beta 132.09
_cell_angle_gamma 59.64
loop_
_symmetry_equiv_pos_as_xyz
'x,y,z'
loop_
_atom_site_label
_atom_site_fract_x
_atom_site_fract_y
_atom_site_fract_z
Pm1 0.0000 0.0000 0.0000
Pm2 0.3380 0.3380 0.0000
Pm3 0.6620 0.6620 0.0000
P1 0.5000 0.0000 0.5000
S1 0.1671 0.6671 0.5000
S2 0.8329 0.3329 0.5000
```

Largest 10 diffraction maxima, low angle first, 2θ = 10–90°:
| Position (°2θ) | d_spacing | I/Imax |
| --- | --- | --- |
| 26.77 | 3.331 | 57.8 |
| 26.89 | 3.315 | 57.6 |
| 31.04 | 2.881 | 100.0 |
| 31.16 | 2.870 | 49.7 |
| 44.57 | 2.033 | 90.4 |
| 52.59 | 1.740 | 18.8 |
| 52.83 | 1.733 | 37.9 |
| 55.15 | 1.665 | 18.9 |
| 55.43 | 1.658 | 18.9 |
| 73.75 | 1.285 | 24.1 |


3.
Li2Ac3Te4Se2: simulated powder diffractogram (Cu Kα (weighted mean of Kα1 and Kα2)), based on a cell relaxed with PBE.
No peak broadening, texture or thermal motion is included.

Atomic structure:
```
data_Li2Ac3Te4Se2
_symmetry_space_group_name_H-M 'P 1'
_symmetry_Int_Tables_number 1
_cell_length_a 13.3613
_cell_length_b 13.3613
_cell_length_c 13.3613
_cell_angle_alpha 157.48
_cell_angle_beta 157.48
_cell_angle_gamma 32.06
loop_
_symmetry_equiv_pos_as_xyz
'x,y,z'
loop_
_atom_site_label
_atom_site_fract_x
_atom_site_fract_y
_atom_site_fract_z
Li1 0.1137 0.1137 0.0000
Li2 0.8863 0.8863 0.0000
Ac1 0.3244 0.3244 0.0000
Ac2 0.5000 0.5000 0.0000
Ac3 0.6756 0.6756 0.0000
Te1 0.0841 0.5841 0.5000
Te2 0.4159 0.9159 0.5000
Te3 0.5841 0.0841 0.5000
Te4 0.9159 0.4159 0.5000
Se1 0.2083 0.2083 0.0000
Se2 0.7917 0.7917 0.0000
```

Largest 10 diffraction maxima, low angle first, 2θ = 10–90°:
| Position (°2θ) | d_spacing | I/Imax |
| --- | --- | --- |
| 17.34 | 5.114 | 46.3 |
| 24.31 | 3.661 | 23.8 |
| 25.11 | 3.546 | 26.4 |
| 27.89 | 3.199 | 19.6 |
| 29.77 | 3.001 | 17.5 |
| 32.02 | 2.795 | 100.0 |
| 34.37 | 2.609 | 57.4 |
| 49.40 | 1.845 | 21.5 |
| 55.69 | 1.650 | 16.8 |
| 60.09 | 1.540 | 33.6 |


4.
Tl2S3: simulated powder diffractogram (Cu Kα (weighted mean of Kα1 and Kα2)), based on a cell relaxed with PBE.
No peak broadening, texture or thermal motion is included.

Atomic structure:
```
data_Tl2S3
_symmetry_space_group_name_H-M 'P 1'
_symmetry_Int_Tables_number 1
_cell_length_a 6.1056
_cell_length_b 6.1056
_cell_length_c 8.4431
_cell_angle_alpha 90.00
_cell_angle_beta 90.00
_cell_angle_gamma 89.00
loop_
_symmetry_equiv_pos_as_xyz
'x,y,z'
loop_
_atom_site_label
_atom_site_fract_x
_atom_site_fract_y
_atom_site_fract_z
Tl1 0.1418 0.3493 0.0000
Tl2 0.3493 0.1418 0.5000
Tl3 0.6507 0.8582 0.0000
Tl4 0.8582 0.6507 0.5000
S1 0.0610 0.9390 0.2448
S2 0.1648 0.8352 0.8400
S3 0.3244 0.6756 0.6544
S4 0.6756 0.3244 0.1544
S5 0.8352 0.1648 0.3400
S6 0.9390 0.0610 0.7448
```

Largest 10 diffraction maxima, low angle first, 2θ = 10–90°:
| Position (°2θ) | d_spacing | I/Imax |
| --- | --- | --- |
| 20.39 | 4.355 | 33.9 |
| 21.04 | 4.222 | 42.2 |
| 23.30 | 3.817 | 73.3 |
| 29.47 | 3.031 | 70.1 |
| 31.16 | 2.871 | 100.0 |
| 38.28 | 2.351 | 32.5 |
| 43.75 | 2.069 | 25.2 |
| 48.11 | 1.891 | 24.0 |
| 52.34 | 1.748 | 17.1 |
| 57.70 | 1.598 | 19.5 |


5.
Pm6NdSm2Y3: simulated powder diffractogram (Cu Kα (weighted mean of Kα1 and Kα2)), based on a cell relaxed with PBE.
No peak broadening, texture or thermal motion is included.

Atomic structure:
```
data_Pm6NdSm2Y3
_symmetry_space_group_name_H-M 'P 1'
_symmetry_Int_Tables_number 1
_cell_length_a 6.2964
_cell_length_b 6.2964
_cell_length_c 12.0005
_cell_angle_alpha 95.01
_cell_angle_beta 95.01
_cell_angle_gamma 120.00
loop_
_symmetry_equiv_pos_as_xyz
'x,y,z'
loop_
_atom_site_label
_atom_site_fract_x
_atom_site_fract_y
_atom_site_fract_z
Pm1 0.0823 0.4159 0.2479
Pm2 0.2504 0.2504 0.7522
Pm3 0.4159 0.0823 0.2479
Pm4 0.5841 0.9177 0.7521
Pm5 0.7496 0.7496 0.2478
Pm6 0.9177 0.5841 0.7521
Nd1 0.5000 0.5000 0.5000
Sm1 0.1665 0.8335 0.5000
Sm2 0.8335 0.1665 0.5000
Y1 0.0000 0.0000 0.0000
Y2 0.3331 0.6669 0.0000
Y3 0.6669 0.3331 0.0000
```

Largest 10 diffraction maxima, low angle first, 2θ = 10–90°:
| Position (°2θ) | d_spacing | I/Imax |
| --- | --- | --- |
| 30.12 | 2.967 | 100.0 |
| 30.26 | 2.954 | 32.9 |
| 34.96 | 2.566 | 67.2 |
| 50.19 | 1.818 | 24.0 |
| 50.36 | 1.812 | 23.7 |
| 59.71 | 1.549 | 42.6 |
| 59.89 | 1.544 | 14.0 |
| 62.63 | 1.483 | 12.3 |
| 81.64 | 1.179 | 11.6 |
| 84.26 | 1.149 | 10.8 |


6.
Ti7Al2Zn2: simulated powder diffractogram (Cu Kα (weighted mean of Kα1 and Kα2)), based on a cell relaxed with PBE.
No peak broadening, texture or thermal motion is included.

Atomic structure:
```
data_Ti7Al2Zn2
_symmetry_space_group_name_H-M 'P 1'
_symmetry_Int_Tables_number 1
_cell_length_a 5.7551
_cell_length_b 5.7551
_cell_length_c 6.4980
_cell_angle_alpha 90.00
_cell_angle_beta 90.00
_cell_angle_gamma 110.14
loop_
_symmetry_equiv_pos_as_xyz
'x,y,z'
loop_
_atom_site_label
_atom_site_fract_x
_atom_site_fract_y
_atom_site_fract_z
Ti1 0.0000 0.0000 0.0000
Ti2 0.0000 0.5000 0.2965
Ti3 0.0000 0.5000 0.7035
Ti4 0.5000 0.0000 0.2965
Ti5 0.5000 0.0000 0.7035
Ti6 0.5000 0.5000 0.2623
Ti7 0.5000 0.5000 0.7377
Al1 0.1810 0.1810 0.5000
Al2 0.8190 0.8190 0.5000
Zn1 0.2891 0.7109 0.0000
Zn2 0.7109 0.2891 0.0000
```

Largest 10 diffraction maxima, low angle first, 2θ = 10–90°:
| Position (°2θ) | d_spacing | I/Imax |
| --- | --- | --- |
| 18.81 | 4.718 | 24.0 |
| 30.42 | 2.939 | 78.6 |
| 32.15 | 2.784 | 30.5 |
| 33.16 | 2.702 | 24.5 |
| 34.48 | 2.601 | 24.6 |
| 38.15 | 2.359 | 60.3 |
| 38.93 | 2.314 | 25.6 |
| 42.27 | 2.138 | 62.9 |
| 43.57 | 2.077 | 100.0 |
| 49.55 | 1.840 | 22.0 |


7.
YThS: simulated powder diffractogram (Cu Kα (weighted mean of Kα1 and Kα2)), based on a cell relaxed with PBE.
No peak broadening, texture or thermal motion is included.

Atomic structure:
```
data_YThS
_symmetry_space_group_name_H-M 'P 1'
_symmetry_Int_Tables_number 1
_cell_length_a 3.7798
_cell_length_b 3.8225
_cell_length_c 5.6776
_cell_angle_alpha 90.00
_cell_angle_beta 90.00
_cell_angle_gamma 90.00
loop_
_symmetry_equiv_pos_as_xyz
'x,y,z'
loop_
_atom_site_label
_atom_site_fract_x
_atom_site_fract_y
_atom_site_fract_z
Y1 0.0000 0.0000 0.0000
Th1 0.5000 0.5000 0.5000
S1 0.5000 0.5000 0.0000
```

Largest 10 diffraction maxima, low angle first, 2θ = 10–90°:
| Position (°2θ) | d_spacing | I/Imax |
| --- | --- | --- |
| 23.27 | 3.822 | 27.7 |
| 23.54 | 3.780 | 27.0 |
| 28.14 | 3.171 | 100.0 |
| 28.37 | 3.146 | 98.0 |
| 31.52 | 2.839 | 57.8 |
| 33.34 | 2.688 | 99.5 |
| 46.53 | 1.952 | 78.2 |
| 54.09 | 1.696 | 22.9 |
| 56.32 | 1.633 | 30.1 |
| 56.70 | 1.623 | 29.5 |


8.
Sr2SeBr: simulated powder diffractogram (Cu Kα (weighted mean of Kα1 and Kα2)), based on a cell relaxed with PBE.
No peak broadening, texture or thermal motion is included.

Atomic structure:
```
data_Sr2SeBr
_symmetry_space_group_name_H-M 'P 1'
_symmetry_Int_Tables_number 1
_cell_length_a 6.2892
_cell_length_b 4.4568
_cell_length_c 4.4568
_cell_angle_alpha 89.99
_cell_angle_beta 90.00
_cell_angle_gamma 90.00
loop_
_symmetry_equiv_pos_as_xyz
'x,y,z'
loop_
_atom_site_label
_atom_site_fract_x
_atom_site_fract_y
_atom_site_fract_z
Sr1 0.0000 0.0000 0.0000
Sr2 0.5000 0.4992 0.4992
Se1 0.5000 0.9993 0.9993
Br1 0.0000 0.5000 0.5000
```

Largest 10 diffraction maxima, low angle first, 2θ = 10–90°:
| Position (°2θ) | d_spacing | I/Imax |
| --- | --- | --- |
| 28.34 | 3.149 | 100.0 |
| 40.51 | 2.227 | 75.2 |
| 50.18 | 1.818 | 26.6 |
| 58.58 | 1.576 | 8.3 |
| 58.72 | 1.572 | 4.1 |
| 66.34 | 1.409 | 22.9 |
| 66.45 | 1.407 | 11.4 |
| 73.69 | 1.286 | 25.4 |
| 87.56 | 1.114 | 2.8 |
| 87.68 | 1.113 | 5.6 |